The following is a computed powder XRD pattern of U3Al19Ni5. It was derived from a structure optimized by DFT (GGA-PBE), using Cu Kα X-rays.
No peak broadening, texture or thermal motion is included.

The 10 most intense peaks (2θ from 5° to 70°), in order of falling intensity:
d (Å)	two_theta	I/Imax	h k l
2.380	37.80	100.0	1 1 9
2.907	30.76	81.8	1 3 4
3.900	22.80	71.6	1 1 1
5.936	14.92	63.2	0 2 3
2.035	44.53	44.9	2 0 0
4.448	19.96	44.6	0 2 5
3.399	26.22	40.7	1 1 4
2.491	36.06	40.5	1 5 1
2.459	36.53	36.5	0 6 4
2.268	39.75	29.7	1 5 5

Structure:
a b c (Å): 4.069 15.859 26.862
angles (deg): 90.00 90.00 90.00
Space group Cmcm (No. 63)
Asymmetric unit:
U: 0.000 0.116 0.250 x4
U: 0.000 0.332 0.136 x8
Al: 0.000 0.037 0.602 x8
Al: 0.000 0.078 0.701 x8
Al: 0.000 0.093 0.037 x8
Al: 0.000 0.132 0.136 x8
Al: 0.000 0.264 0.029 x8
Al: 0.000 0.276 0.694 x8
Al: 0.000 0.292 0.589 x8
Al: 0.000 0.305 0.250 x4
Al: 0.000 0.432 0.031 x8
Al: 0.000 0.463 0.674 x8
Ni: 0.000 0.160 0.543 x8
Ni: 0.000 0.447 0.584 x8
Ni: 0.000 0.456 0.250 x4

***

The following is a computed powder XRD pattern of U2SeS. It was derived from a structure optimized by DFT (GGA-PBE), using Cu Kα X-rays.
No peak broadening, texture or thermal motion is included.

The 10 most intense peaks (2θ from 5° to 70°), in order of falling intensity:
d (Å)	two_theta	I/Imax	h k l
2.798	31.99	100.0	1 1 0
1.978	45.87	74.3	2 0 0
3.230	27.61	68.5	1 0 1
1.687	54.38	34.6	2 1 1
1.615	57.02	26.3	2 0 2
1.399	66.89	12.4	2 2 0
5.599	15.83	1.1	0 0 1
3.955	22.48	1.0	1 0 0
2.502	35.89	0.7	1 1 1
2.285	39.43	0.5	1 0 2

Structure:
a b c (Å): 3.955 3.955 5.599
angles (deg): 90.00 90.00 90.00
Space group P4/mmm (No. 123)
Asymmetric unit:
U: 0.000 0.000 0.000 x1
U: 0.500 0.500 0.500 x1
Se: 0.000 0.000 0.500 x1
S: 0.500 0.500 0.000 x1